# 1
Calculated powder X-ray diffraction pattern
Compound: HoThGe2
Radiation: Cu Kα (λ = 1.5418 Å)
Structure: a crystal structure in Alexandria, relaxed with PBE
No peak broadening, texture or thermal motion is included.

Most intense lines, 2θ = 5–70°, sorted by position:
28.68°, rel. 89; 31.16°, rel. 100; 32.33°, rel. 99; 34.75°, rel. 86; 36.98°, rel. 49; 39.20°, rel. 74; 43.95°, rel. 41; 55.60°, rel. 43

Cell: 4.1207 5.9030 8.0031 Å, 90.00 90.00 90.00°
Element x y z (fractional)
Ho (0.0000, 0.1229, 0.0000)
Ho (0.0000, 0.8771, 0.5000)
Th (0.5000, 0.3734, 0.3623)
Th (0.5000, 0.6266, 0.8623)
Ge (0.0000, 0.3971, 0.6391)
Ge (0.0000, 0.6029, 0.1391)
Ge (0.5000, 0.1055, 0.7244)
Ge (0.5000, 0.8945, 0.2244)

***

# 2
Calculated powder X-ray diffraction pattern
Compound: HoTi2Ge2
Radiation: Cu Kα (λ = 1.5418 Å)
Structure: a crystal structure in Alexandria, relaxed with PBE
No peak broadening, texture or thermal motion is included.

Most intense lines, 2θ = 5–70°, sorted by position:
24.44°, rel. 100; 29.01°, rel. 33; 32.37°, rel. 98; 34.33°, rel. 84; 38.05°, rel. 93; 40.57°, rel. 35; 43.36°, rel. 35; 47.90°, rel. 44

Cell: 6.7900 6.7900 5.5700 Å, 110.27 110.27 100.64°
Element x y z (fractional)
Ho (0.1138, 0.8862, 0.7500)
Ho (0.8862, 0.1138, 0.2500)
Ti (0.2295, 0.4427, 0.0228)
Ti (0.4427, 0.2295, 0.5228)
Ti (0.5573, 0.7705, 0.4772)
Ti (0.7705, 0.5573, 0.9772)
Ge (0.1731, 0.8269, 0.2500)
Ge (0.3866, 0.6134, 0.7500)
Ge (0.6134, 0.3866, 0.2500)
Ge (0.8269, 0.1731, 0.7500)

***

# 3
Calculated powder X-ray diffraction pattern
Compound: Ho5Tl2Ge2
Radiation: Cu Kα (λ = 1.5418 Å)
Structure: a crystal structure in Alexandria, relaxed with PBE
No peak broadening, texture or thermal motion is included.

Most intense lines, 2θ = 5–70°, sorted by position:
25.59°, rel. 35; 30.92°, rel. 42; 32.46°, rel. 100; 32.57°, rel. 50; 32.93°, rel. 51; 34.50°, rel. 56; 37.00°, rel. 74; 65.78°, rel. 33

Cell: 8.7397 8.7397 7.7667 Å, 90.00 90.00 52.90°
Element x y z (fractional)
Ho (0.0000, 0.0000, 0.0000)
Ho (0.0476, 0.7018, 0.6689)
Ho (0.2018, 0.5476, 0.1689)
Ho (0.2982, 0.9524, 0.6689)
Ho (0.4524, 0.7982, 0.1689)
Ho (0.5000, 0.5000, 0.5000)
Ho (0.5476, 0.2018, 0.8311)
Ho (0.7018, 0.0476, 0.3311)
Ho (0.7982, 0.4524, 0.8311)
Ho (0.9524, 0.2982, 0.3311)
Tl (0.2156, 0.2156, 0.0000)
Tl (0.2844, 0.2844, 0.5000)
Tl (0.7156, 0.7156, 0.5000)
Tl (0.7844, 0.7844, 0.0000)
Ge (0.1344, 0.8656, 0.3630)
Ge (0.3656, 0.6344, 0.8630)
Ge (0.6344, 0.3656, 0.1370)
Ge (0.8656, 0.1344, 0.6370)

***

# 4
Calculated powder X-ray diffraction pattern
Compound: YHoGe
Radiation: Cu Kα (λ = 1.5418 Å)
Structure: a crystal structure in Alexandria, relaxed with PBE
No peak broadening, texture or thermal motion is included.

Most intense lines, 2θ = 5–70°, sorted by position:
15.37°, rel. 29; 31.44°, rel. 86; 31.84°, rel. 61; 34.46°, rel. 30; 35.90°, rel. 100; 42.72°, rel. 28; 53.47°, rel. 26; 54.25°, rel. 27

Cell: 6.1398 6.1398 6.4394 Å, 90.00 90.00 139.67°
Element x y z (fractional)
Y (0.2072, 0.7928, 0.7500)
Y (0.7928, 0.2072, 0.2500)
Ho (0.5000, 0.5000, 0.0000)
Ho (0.5000, 0.5000, 0.5000)
Ge (0.1131, 0.8869, 0.2500)
Ge (0.8869, 0.1131, 0.7500)

***

# 5
Calculated powder X-ray diffraction pattern
Compound: Ho4Zn5Ge6
Radiation: Cu Kα (λ = 1.5418 Å)
Structure: a crystal structure in Alexandria, relaxed with PBE
No peak broadening, texture or thermal motion is included.

Most intense lines, 2θ = 5–70°, sorted by position:
31.92°, rel. 41; 32.09°, rel. 29; 32.64°, rel. 34; 34.80°, rel. 27; 35.23°, rel. 26; 36.74°, rel. 100; 40.03°, rel. 20; 42.70°, rel. 54

Cell: 9.5037 9.5037 15.2807 Å, 90.00 90.00 154.25°
Element x y z (fractional)
Ho (0.0190, 0.9810, 0.5000)
Ho (0.0325, 0.9675, 0.7634)
Ho (0.1677, 0.8323, 0.3036)
Ho (0.1754, 0.8246, 0.9450)
Ho (0.8246, 0.1754, 0.4450)
Ho (0.8323, 0.1677, 0.8036)
Ho (0.9675, 0.0325, 0.2634)
Ho (0.9810, 0.0190, 0.0000)
Zn (0.1512, 0.8488, 0.6274)
Zn (0.3005, 0.6995, 0.6246)
Zn (0.3451, 0.6549, 0.2749)
Zn (0.3498, 0.6502, 0.9815)
Zn (0.4342, 0.5658, 0.6864)
Zn (0.5658, 0.4342, 0.1864)
Zn (0.6502, 0.3498, 0.4815)
Zn (0.6549, 0.3451, 0.7749)
Zn (0.6995, 0.3005, 0.1246)
Zn (0.8488, 0.1512, 0.1274)
Ge (0.1119, 0.8881, 0.1173)
Ge (0.2228, 0.7772, 0.4861)
Ge (0.2278, 0.7722, 0.7657)
Ge (0.4311, 0.5689, 0.4087)
Ge (0.4334, 0.5666, 0.1300)
Ge (0.4400, 0.5600, 0.8549)
Ge (0.5600, 0.4400, 0.3549)
Ge (0.5666, 0.4334, 0.6300)
Ge (0.5689, 0.4311, 0.9087)
Ge (0.7722, 0.2278, 0.2657)
Ge (0.7772, 0.2228, 0.9861)
Ge (0.8881, 0.1119, 0.6173)

***

# 6
Calculated powder X-ray diffraction pattern
Compound: Ho2ZnGe2
Radiation: Cu Kα (λ = 1.5418 Å)
Structure: a crystal structure in Alexandria, relaxed with PBE
No peak broadening, texture or thermal motion is included.

Most intense lines, 2θ = 5–70°, sorted by position:
26.39°, rel. 31; 33.56°, rel. 100; 34.43°, rel. 22; 36.93°, rel. 32; 37.84°, rel. 22; 39.05°, rel. 38; 43.83°, rel. 24; 66.33°, rel. 25

Cell: 5.6467 5.6467 5.6467 Å, 137.09 117.40 78.89°
Element x y z (fractional)
Ho (0.2098, 0.2098, 0.0000)
Ho (0.7902, 0.7902, 0.0000)
Zn (0.5000, 0.0000, 0.5000)
Ge (0.2191, 0.5000, 0.7191)
Ge (0.7809, 0.5000, 0.2809)

***

# 7
Calculated powder X-ray diffraction pattern
Compound: Ho3Zn3Ge
Radiation: Cu Kα (λ = 1.5418 Å)
Structure: a crystal structure in Alexandria, relaxed with PBE
No peak broadening, texture or thermal motion is included.

Most intense lines, 2θ = 5–70°, sorted by position:
25.63°, rel. 26; 32.55°, rel. 100; 32.93°, rel. 55; 36.67°, rel. 20; 40.03°, rel. 34; 43.22°, rel. 25; 45.80°, rel. 21; 55.38°, rel. 25

Cell: 9.7868 9.7868 9.7868 Å, 156.64 155.30 34.25°
Element x y z (fractional)
Ho (0.0000, 0.0000, 0.0000)
Ho (0.3763, 0.3763, 0.0000)
Ho (0.6965, 0.1965, 0.5000)
Zn (0.1231, 0.6231, 0.5000)
Zn (0.5476, 0.5476, 0.0000)
Zn (0.8343, 0.8343, 0.0000)
Ge (0.2552, 0.7552, 0.5000)

***

# 8
Calculated powder X-ray diffraction pattern
Compound: Ho2Zn16Ge
Radiation: Cu Kα (λ = 1.5418 Å)
Structure: a crystal structure in Alexandria, relaxed with PBE
No peak broadening, texture or thermal motion is included.

Most intense lines, 2θ = 5–70°, sorted by position:
28.54°, rel. 25; 34.21°, rel. 42; 35.94°, rel. 16; 39.71°, rel. 53; 40.26°, rel. 100; 41.83°, rel. 43; 45.13°, rel. 26; 65.35°, rel. 19

Cell: 6.7901 6.7901 6.7901 Å, 83.91 83.91 83.91°
Element x y z (fractional)
Ho (0.0000, 0.0000, 0.0000)
Ho (0.3324, 0.3324, 0.3324)
Zn (0.0180, 0.0180, 0.4969)
Zn (0.0180, 0.4969, 0.0180)
Zn (0.1772, 0.6608, 0.6608)
Zn (0.3179, 0.3179, 0.8334)
Zn (0.3179, 0.8334, 0.3179)
Zn (0.3569, 0.6667, 0.9765)
Zn (0.3569, 0.9765, 0.6667)
Zn (0.4969, 0.0180, 0.0180)
Zn (0.5714, 0.5714, 0.5714)
Zn (0.6608, 0.1772, 0.6608)
Zn (0.6608, 0.6608, 0.1772)
Zn (0.6667, 0.3569, 0.9765)
Zn (0.6667, 0.9765, 0.3569)
Zn (0.8334, 0.3179, 0.3179)
Zn (0.9765, 0.3569, 0.6667)
Zn (0.9765, 0.6667, 0.3569)
Ge (0.7695, 0.7695, 0.7695)

***

# 9
Calculated powder X-ray diffraction pattern
Compound: Ho2Zn5Ge
Radiation: Cu Kα (λ = 1.5418 Å)
Structure: a crystal structure in Alexandria, relaxed with PBE
No peak broadening, texture or thermal motion is included.

Most intense lines, 2θ = 5–70°, sorted by position:
29.71°, rel. 24; 33.85°, rel. 100; 35.35°, rel. 75; 37.63°, rel. 52; 39.87°, rel. 19; 40.99°, rel. 24; 42.42°, rel. 45; 46.29°, rel. 20

Cell: 8.1871 8.1871 8.8107 Å, 90.00 90.00 149.83°
Element x y z (fractional)
Ho (0.0000, 0.0000, 0.0000)
Ho (0.0000, 0.0000, 0.5000)
Ho (0.1983, 0.8017, 0.7500)
Ho (0.8017, 0.1983, 0.2500)
Zn (0.1883, 0.8117, 0.1067)
Zn (0.1883, 0.8117, 0.3933)
Zn (0.3502, 0.6498, 0.0245)
Zn (0.3502, 0.6498, 0.4755)
Zn (0.3964, 0.6036, 0.7500)
Zn (0.6036, 0.3964, 0.2500)
Zn (0.6498, 0.3502, 0.5245)
Zn (0.6498, 0.3502, 0.9755)
Zn (0.8117, 0.1883, 0.6067)
Zn (0.8117, 0.1883, 0.8933)
Ge (0.4480, 0.5520, 0.2500)
Ge (0.5520, 0.4480, 0.7500)

***

# 10
Calculated powder X-ray diffraction pattern
Compound: GeI3
Radiation: Cu Kα (λ = 1.5418 Å)
Structure: a crystal structure in Alexandria, relaxed with PBE
No peak broadening, texture or thermal motion is included.

Most intense lines, 2θ = 5–70°, sorted by position:
25.07°, rel. 40; 25.31°, rel. 100; 28.94°, rel. 49; 32.49°, rel. 19; 38.81°, rel. 42; 41.38°, rel. 13; 47.27°, rel. 32; 53.57°, rel. 16

Cell: 7.5127 7.5127 7.5127 Å, 108.98 108.98 110.47°
Element x y z (fractional)
Ge (0.0000, 0.0000, 0.0000)
Ge (0.7500, 0.2500, 0.5000)
I (0.0527, 0.6250, 0.9277)
I (0.2500, 0.7500, 0.5000)
I (0.3750, 0.3027, 0.4277)
I (0.5000, 0.5000, 0.0000)
I (0.6973, 0.1250, 0.0723)
I (0.8750, 0.9473, 0.5723)

***

# 11
Calculated powder X-ray diffraction pattern
Compound: InGe2I6
Radiation: Cu Kα (λ = 1.5418 Å)
Structure: a crystal structure in Alexandria, relaxed with PBE
No peak broadening, texture or thermal motion is included.

Most intense lines, 2θ = 5–70°, sorted by position:
10.95°, rel. 38; 12.50°, rel. 37; 17.52°, rel. 52; 20.26°, rel. 40; 23.92°, rel. 56; 25.73°, rel. 100; 27.03°, rel. 35; 33.24°, rel. 36

Cell: 10.4503 10.4503 10.1342 Å, 108.76 108.76 85.30°
Element x y z (fractional)
In (0.0856, 0.9144, 0.7500)
In (0.9144, 0.0856, 0.2500)
Ge (0.2355, 0.3938, 0.7642)
Ge (0.3938, 0.2355, 0.2642)
Ge (0.6062, 0.7645, 0.7358)
Ge (0.7645, 0.6062, 0.2358)
I (0.0281, 0.2137, 0.6377)
I (0.1005, 0.6247, 0.8201)
I (0.2137, 0.0281, 0.1377)
I (0.3455, 0.3648, 0.5348)
I (0.3648, 0.3455, 0.0348)
I (0.3753, 0.8995, 0.6799)
I (0.6247, 0.1005, 0.3201)
I (0.6352, 0.6545, 0.9652)
I (0.6545, 0.6352, 0.4652)
I (0.7863, 0.9719, 0.8623)
I (0.8995, 0.3753, 0.1799)
I (0.9719, 0.7863, 0.3623)

***

# 12
Calculated powder X-ray diffraction pattern
Compound: In2GeI8
Radiation: Cu Kα (λ = 1.5418 Å)
Structure: a crystal structure in Alexandria, relaxed with PBE
No peak broadening, texture or thermal motion is included.

Most intense lines, 2θ = 5–70°, sorted by position:
21.23°, rel. 46; 21.95°, rel. 32; 24.60°, rel. 43; 24.76°, rel. 100; 25.05°, rel. 40; 25.16°, rel. 47; 36.76°, rel. 32; 38.08°, rel. 64

Cell: 11.7659 11.7659 14.2184 Å, 126.49 126.49 49.11°
Element x y z (fractional)
In (0.1627, 0.6636, 0.9641)
In (0.3364, 0.8373, 0.5359)
In (0.6636, 0.1627, 0.4641)
In (0.8373, 0.3364, 0.0359)
Ge (0.0110, 0.9890, 0.2500)
Ge (0.9890, 0.0110, 0.7500)
I (0.1395, 0.1746, 0.0215)
I (0.1452, 0.7080, 0.3049)
I (0.1475, 0.6784, 0.7691)
I (0.1746, 0.1395, 0.5215)
I (0.2920, 0.8548, 0.1951)
I (0.3216, 0.8525, 0.7309)
I (0.3245, 0.3546, 0.9449)
I (0.3546, 0.3245, 0.4449)
I (0.6454, 0.6755, 0.5551)
I (0.6755, 0.6454, 0.0551)
I (0.6784, 0.1475, 0.2691)
I (0.7080, 0.1452, 0.8049)
I (0.8254, 0.8605, 0.4785)
I (0.8525, 0.3216, 0.2309)
I (0.8548, 0.2920, 0.6951)
I (0.8605, 0.8254, 0.9785)

***

# 13
Calculated powder X-ray diffraction pattern
Compound: La4InGeI2
Radiation: Cu Kα (λ = 1.5418 Å)
Structure: a crystal structure in Alexandria, relaxed with PBE
No peak broadening, texture or thermal motion is included.

Most intense lines, 2θ = 5–70°, sorted by position:
27.27°, rel. 50; 27.40°, rel. 100; 38.47°, rel. 18; 39.05°, rel. 74; 39.81°, rel. 19; 48.93°, rel. 20; 63.69°, rel. 15; 63.89°, rel. 15

Cell: 8.0323 4.5290 8.0513 Å, 90.00 108.82 90.00°
Element x y z (fractional)
La (0.2120, 0.0000, 0.2266)
La (0.2238, 0.5000, 0.7544)
La (0.7762, 0.5000, 0.2456)
La (0.7880, 0.0000, 0.7734)
In (0.0000, 0.0000, 0.5000)
Ge (0.0000, 0.5000, 0.0000)
I (0.5000, 0.0000, 0.0000)
I (0.5000, 0.5000, 0.5000)